Theoretical powder X-ray diffraction pattern
Compound: HoSnIr
Radiation: λ = 1.5418 Å (Cu Kα)
Structure: the PBE geometry in the Materials Project

```
data_HoSnIr
_space_group_name_H-M_alt 'P -6 2 m'
_space_group_IT_number 189
_space_group_name_Hall 'P -6 -2'
_cell_length_a 7.5145
_cell_length_b 7.5145
_cell_length_c 3.8936
_cell_angle_alpha 90.00
_cell_angle_beta 90.00
_cell_angle_gamma 120.00
loop_
_atom_site_label
_atom_site_fract_x
_atom_site_fract_y
_atom_site_fract_z
_atom_site_occupancy
Ho1 0.0000 0.5977 0.0000 1
Sn1 0.0000 0.2619 0.5000 1
Ir1 0.0000 0.0000 0.0000 1
Ir2 0.3333 0.6667 0.5000 1
```

Principal peaks in the range 2θ from 15° to 90°, in order of rising 2θ:
d (Å), 2theta, I (rel.), hkl
2.704, 33.13, 91, 1 1 1
2.497, 35.97, 100, 2 0 1
2.460, 36.53, 34, 2 1 0
2.169, 41.63, 56, 3 0 0
2.080, 43.52, 40, 2 1 1
1.394, 67.15, 38, 3 2 1

***

Theoretical powder X-ray diffraction pattern
Compound: Ho2SiSO4
Radiation: λ = 1.5418 Å (Cu Kα)
Structure: the PBE geometry in the Materials Project

```
data_Ho2SiSO4
_space_group_name_H-M_alt 'P b c m'
_space_group_IT_number 57
_cell_length_a 6.114
_cell_length_b 6.922
_cell_length_c 10.695
_cell_angle_alpha 90.00
_cell_angle_beta 90.00
_cell_angle_gamma 90.00
loop_
_space_group_symop_operation_xyz
'x,y,z'
'-x,-y,-z'
'-x,-y,z+1/2'
'x,y,-z+1/2'
'x,-y+1/2,-z'
'-x,y+1/2,z'
'-x,y+1/2,-z+1/2'
'x,-y+1/2,z+1/2'
loop_
_atom_site_label
_atom_site_fract_x
_atom_site_fract_y
_atom_site_fract_z
_atom_site_occupancy
Ho1 0.116 0.250 0.000 1
Ho2 0.344 0.528 0.250 1
Si1 0.378 0.750 0.000 1
S1 0.023 0.687 0.750 1
O1 0.215 0.567 0.029 1
O2 0.461 0.238 0.623 1
```

Principal peaks in the range 2θ from 15° to 90°, in order of rising 2θ:
d (Å), 2theta, I (rel.), hkl
4.212, 21.09, 100, 1 1 1
4.025, 22.08, 61, 1 0 2
2.905, 30.78, 98, 0 2 2
2.705, 33.11, 39, 2 1 1
2.674, 33.52, 59, 0 0 4
2.000, 45.35, 41, 1 2 4

***

Theoretical powder X-ray diffraction pattern
Compound: Zn3In2S6
Radiation: λ = 1.5418 Å (Cu Kα)
Structure: the PBE geometry in the Materials Project

```
data_Zn3In2S6
_space_group_name_H-M_alt 'P 3 m 1'
_space_group_IT_number 156
_cell_length_a 3.9062
_cell_length_b 3.9062
_cell_length_c 18.7841
_cell_angle_alpha 90.00
_cell_angle_beta 90.00
_cell_angle_gamma 120.00
loop_
_space_group_symop_operation_xyz
'x,y,z'
'-y,x-y,z'
'-x+y,-x,z'
'-y,-x,z'
'-x+y,y,z'
'x,x-y,z'
loop_
_atom_site_label
_atom_site_fract_x
_atom_site_fract_y
_atom_site_fract_z
_atom_site_occupancy
Zn1 0.0000 0.0000 0.0000 1
Zn2 0.0000 0.0000 0.4266 1
Zn3 0.3333 0.6667 0.8286 1
In1 0.3333 0.6667 0.2502 1
In2 0.6667 0.3333 0.6239 1
S1 0.0000 0.0000 0.1954 1
S2 0.0000 0.0000 0.5462 1
S3 0.0000 0.0000 0.8631 1
S4 0.3333 0.6667 0.0373 1
S5 0.3333 0.6667 0.3837 1
S6 0.3333 0.6667 0.6943 1
```

Principal peaks in the range 2θ from 15° to 90°, in order of rising 2θ:
d (Å), 2theta, I (rel.), hkl
3.757, 23.68, 56, 0 0 5
3.329, 26.78, 37, 1 0 1
3.183, 28.04, 100, 1 0 2
2.102, 43.02, 44, 1 0 7
1.953, 46.50, 62, 1 1 0
1.733, 52.83, 36, 1 1 5

***

Theoretical powder X-ray diffraction pattern
Compound: Li3Ti2CuO6
Radiation: λ = 1.5418 Å (Cu Kα)
Structure: the PBE geometry in the Materials Project

```
data_Li3Ti2CuO6
_space_group_name_H-M_alt 'C 1 2/m 1'
_space_group_IT_number 12
_cell_length_a 13.184
_cell_length_b 2.951
_cell_length_c 6.012
_cell_angle_alpha 90.00
_cell_angle_beta 103.42
_cell_angle_gamma 90.00
loop_
_space_group_symop_operation_xyz
'x,y,z'
'-x,-y,-z'
'-x,y,-z'
'x,-y,z'
'x+1/2,y+1/2,z'
'-x+1/2,-y+1/2,-z'
'-x+1/2,y+1/2,-z'
'x+1/2,-y+1/2,z'
loop_
_atom_site_label
_atom_site_fract_x
_atom_site_fract_y
_atom_site_fract_z
_atom_site_occupancy
Li1 0.000 0.000 0.000 1
Li2 0.163 0.500 0.332 1
Ti1 0.155 0.500 0.821 1
Cu1 0.000 0.000 0.500 1
O1 0.012 0.500 0.768 1
O2 0.172 0.000 0.058 1
O3 0.178 0.000 0.615 1
```

Principal peaks in the range 2θ from 15° to 90°, in order of rising 2θ:
d (Å), 2theta, I (rel.), hkl
4.927, 18.00, 100, 2 0 -1
2.571, 34.90, 15, 4 0 1
2.529, 35.50, 27, 1 1 1
2.137, 42.29, 28, 6 0 0
2.106, 42.95, 57, 1 1 -2
1.502, 61.74, 23, 7 1 -2

***

Copy entry 1 word for word.
Theoretical powder X-ray diffraction pattern
Compound: HoSnIr
Radiation: λ = 1.5418 Å (Cu Kα)
Structure: the PBE geometry in the Materials Project

```
data_HoSnIr
_space_group_name_H-M_alt 'P -6 2 m'
_space_group_IT_number 189
_space_group_name_Hall 'P -6 -2'
_cell_length_a 7.5145
_cell_length_b 7.5145
_cell_length_c 3.8936
_cell_angle_alpha 90.00
_cell_angle_beta 90.00
_cell_angle_gamma 120.00
loop_
_atom_site_label
_atom_site_fract_x
_atom_site_fract_y
_atom_site_fract_z
_atom_site_occupancy
Ho1 0.0000 0.5977 0.0000 1
Sn1 0.0000 0.2619 0.5000 1
Ir1 0.0000 0.0000 0.0000 1
Ir2 0.3333 0.6667 0.5000 1
```

Principal peaks in the range 2θ from 15° to 90°, in order of rising 2θ:
d (Å), 2theta, I (rel.), hkl
2.704, 33.13, 91, 1 1 1
2.497, 35.97, 100, 2 0 1
2.460, 36.53, 34, 2 1 0
2.169, 41.63, 56, 3 0 0
2.080, 43.52, 40, 2 1 1
1.394, 67.15, 38, 3 2 1

***

Copy entry 4 word for word.
Theoretical powder X-ray diffraction pattern
Compound: Li3Ti2CuO6
Radiation: λ = 1.5418 Å (Cu Kα)
Structure: the PBE geometry in the Materials Project

```
data_Li3Ti2CuO6
_space_group_name_H-M_alt 'C 1 2/m 1'
_space_group_IT_number 12
_cell_length_a 13.184
_cell_length_b 2.951
_cell_length_c 6.012
_cell_angle_alpha 90.00
_cell_angle_beta 103.42
_cell_angle_gamma 90.00
loop_
_space_group_symop_operation_xyz
'x,y,z'
'-x,-y,-z'
'-x,y,-z'
'x,-y,z'
'x+1/2,y+1/2,z'
'-x+1/2,-y+1/2,-z'
'-x+1/2,y+1/2,-z'
'x+1/2,-y+1/2,z'
loop_
_atom_site_label
_atom_site_fract_x
_atom_site_fract_y
_atom_site_fract_z
_atom_site_occupancy
Li1 0.000 0.000 0.000 1
Li2 0.163 0.500 0.332 1
Ti1 0.155 0.500 0.821 1
Cu1 0.000 0.000 0.500 1
O1 0.012 0.500 0.768 1
O2 0.172 0.000 0.058 1
O3 0.178 0.000 0.615 1
```

Principal peaks in the range 2θ from 15° to 90°, in order of rising 2θ:
d (Å), 2theta, I (rel.), hkl
4.927, 18.00, 100, 2 0 -1
2.571, 34.90, 15, 4 0 1
2.529, 35.50, 27, 1 1 1
2.137, 42.29, 28, 6 0 0
2.106, 42.95, 57, 1 1 -2
1.502, 61.74, 23, 7 1 -2